No. 1
# K9Rb3Na
Theoretical powder diffractogram, CuKα. Input: DFT lattice parameters and positions (PBE).
Neutral-atom scattering factors, no anomalous dispersion.

Crystal structure
Cell lengths 13.642, 10.149, 14.657 Å; angles 90.00, 94.96, 90.00 degrees
Positions (direct):
K (0.054, 0.052, 0.207)
K (0.054, 0.448, 0.207)
K (0.194, 0.250, 0.730)
K (0.227, 0.750, 0.696)
K (0.238, 0.520, 0.978)
K (0.238, 0.980, 0.978)
K (0.241, 0.750, 0.291)
K (0.344, 0.041, 0.492)
K (0.344, 0.459, 0.492)
K (0.656, 0.541, 0.508)
K (0.656, 0.959, 0.508)
K (0.759, 0.250, 0.709)
K (0.762, 0.020, 0.022)
K (0.762, 0.480, 0.022)
K (0.773, 0.250, 0.304)
K (0.806, 0.750, 0.270)
K (0.946, 0.552, 0.793)
K (0.946, 0.948, 0.793)
Rb (0.000, 0.000, 0.500)
Rb (0.000, 0.500, 0.500)
Rb (0.492, 0.006, 0.199)
Rb (0.492, 0.494, 0.199)
Rb (0.508, 0.506, 0.801)
Rb (0.508, 0.994, 0.801)
Na (0.001, 0.250, 0.960)
Na (0.999, 0.750, 0.040)

Peak list (10 most intense, 10° ≤ 2θ ≤ 90°, in order of rising 2θ)
| 2θ (°) | Rel. int. |
| --- | --- |
| 17.5 | 96 |
| 21.5 | 94 |
| 21.8 | 99 |
| 22.2 | 77 |
| 23.4 | 58 |
| 24.4 | 66 |
| 24.5 | 78 |
| 25.4 | 100 |
| 25.6 | 75 |
| 27.5 | 64 |

No. 2
# K7Rb4Na4
Theoretical powder diffractogram, CuKα. Input: DFT lattice parameters and positions (PBE).
Neutral-atom scattering factors, no anomalous dispersion.

Crystal structure
Cell lengths 16.185, 16.185, 16.185 Å; angles 93.75, 93.75, 150.37 degrees
Positions (direct):
K (0.000, 0.302, 0.302)
K (0.000, 0.698, 0.698)
K (0.095, 0.500, 0.595)
K (0.249, 0.249, 0.000)
K (0.293, 0.293, 0.586)
K (0.293, 0.707, 0.000)
K (0.302, 0.000, 0.302)
K (0.500, 0.095, 0.595)
K (0.500, 0.905, 0.405)
K (0.698, 0.000, 0.698)
K (0.707, 0.293, 0.000)
K (0.707, 0.707, 0.414)
K (0.751, 0.751, 0.000)
K (0.905, 0.500, 0.405)
Rb (0.142, 0.142, 0.283)
Rb (0.142, 0.858, 0.000)
Rb (0.303, 0.500, 0.803)
Rb (0.500, 0.303, 0.803)
Rb (0.500, 0.697, 0.197)
Rb (0.697, 0.500, 0.197)
Rb (0.858, 0.142, 0.000)
Rb (0.858, 0.858, 0.717)
Na (0.099, 0.599, 0.197)
Na (0.099, 0.901, 0.500)
Na (0.401, 0.599, 0.500)
Na (0.401, 0.901, 0.803)
Na (0.599, 0.099, 0.197)
Na (0.599, 0.401, 0.500)
Na (0.901, 0.099, 0.500)
Na (0.901, 0.401, 0.803)

Peak list (10 most intense, 10° ≤ 2θ ≤ 90°, in order of rising 2θ)
| 2θ (°) | Rel. int. |
| --- | --- |
| 18.0 | 9 |
| 21.5 | 17 |
| 22.8 | 100 |
| 24.1 | 24 |
| 25.0 | 30 |
| 33.4 | 9 |
| 37.8 | 11 |
| 38.4 | 22 |
| 42.5 | 11 |
| 44.1 | 14 |

No. 3
# KRb3Na6
Theoretical powder diffractogram, CuKα. Input: DFT lattice parameters and positions (PBE).
Neutral-atom scattering factors, no anomalous dispersion.

Crystal structure
Cell lengths 10.507, 10.507, 10.507 Å; angles 94.33, 94.33, 94.33 degrees
Positions (direct):
K (0.000, 0.000, 0.000)
K (0.500, 0.500, 0.500)
Rb (0.210, 0.750, 0.290)
Rb (0.250, 0.710, 0.790)
Rb (0.290, 0.210, 0.750)
Rb (0.710, 0.790, 0.250)
Rb (0.750, 0.290, 0.210)
Rb (0.790, 0.250, 0.710)
Na (0.067, 0.089, 0.378)
Na (0.089, 0.378, 0.067)
Na (0.122, 0.411, 0.433)
Na (0.378, 0.067, 0.089)
Na (0.411, 0.433, 0.122)
Na (0.433, 0.122, 0.411)
Na (0.567, 0.878, 0.589)
Na (0.589, 0.567, 0.878)
Na (0.622, 0.933, 0.911)
Na (0.878, 0.589, 0.567)
Na (0.911, 0.622, 0.933)
Na (0.933, 0.911, 0.622)

Peak list (10 most intense, 10° ≤ 2θ ≤ 90°, in order of rising 2θ)
| 2θ (°) | Rel. int. |
| --- | --- |
| 17.0 | 41 |
| 19.6 | 23 |
| 20.5 | 27 |
| 23.1 | 45 |
| 24.6 | 53 |
| 25.1 | 100 |
| 26.3 | 90 |
| 34.7 | 26 |
| 38.6 | 23 |
| 48.1 | 35 |

No. 4
# K2Rb9Na4
Theoretical powder diffractogram, CuKα. Input: DFT lattice parameters and positions (PBE).
Neutral-atom scattering factors, no anomalous dispersion.

Crystal structure
Cell lengths 7.348, 7.348, 23.039 Å; angles 90.00, 90.00, 120.00 degrees
Positions (direct):
K (0.333, 0.667, 0.278)
K (0.667, 0.333, 0.722)
Rb (0.000, 0.000, 0.000)
Rb (0.000, 0.000, 0.196)
Rb (0.000, 0.000, 0.390)
Rb (0.000, 0.000, 0.610)
Rb (0.000, 0.000, 0.804)
Rb (0.333, 0.667, 0.072)
Rb (0.333, 0.667, 0.482)
Rb (0.667, 0.333, 0.518)
Rb (0.667, 0.333, 0.928)
Na (0.333, 0.667, 0.691)
Na (0.333, 0.667, 0.862)
Na (0.667, 0.333, 0.138)
Na (0.667, 0.333, 0.309)

Peak list (10 most intense, 10° ≤ 2θ ≤ 90°, in order of rising 2θ)
| 2θ (°) | Rel. int. |
| --- | --- |
| 23.8 | 100 |
| 24.2 | 96 |
| 34.2 | 41 |
| 41.7 | 14 |
| 42.4 | 43 |
| 42.6 | 20 |
| 49.6 | 14 |
| 55.2 | 12 |
| 55.8 | 18 |
| 67.3 | 11 |

No. 5
# KRb8Na4
Theoretical powder diffractogram, CuKα. Input: DFT lattice parameters and positions (PBE).
Neutral-atom scattering factors, no anomalous dispersion.

Crystal structure
Cell lengths 11.423, 11.423, 11.423 Å; angles 97.47, 97.47, 137.74 degrees
Positions (direct):
K (0.000, 0.000, 0.000)
Rb (0.000, 0.337, 0.337)
Rb (0.000, 0.663, 0.663)
Rb (0.289, 0.500, 0.789)
Rb (0.337, 0.000, 0.337)
Rb (0.500, 0.289, 0.789)
Rb (0.500, 0.711, 0.211)
Rb (0.663, 0.000, 0.663)
Rb (0.711, 0.500, 0.211)
Na (0.000, 0.000, 0.500)
Na (0.000, 0.500, 0.000)
Na (0.500, 0.000, 0.000)
Na (0.500, 0.500, 0.500)

Peak list (10 most intense, 10° ≤ 2θ ≤ 90°, in order of rising 2θ)
| 2θ (°) | Rel. int. |
| --- | --- |
| 16.6 | 38 |
| 20.7 | 48 |
| 21.6 | 40 |
| 23.6 | 37 |
| 23.9 | 100 |
| 26.7 | 38 |
| 27.4 | 60 |
| 39.3 | 26 |
| 41.7 | 37 |
| 42.1 | 27 |

No. 6
# K4RbNa3
Theoretical powder diffractogram, CuKα. Input: DFT lattice parameters and positions (PBE).
Neutral-atom scattering factors, no anomalous dispersion.

Crystal structure
Cell lengths 12.604, 12.067, 6.290 Å; angles 90.00, 90.00, 90.00 degrees
Positions (direct):
K (0.000, 0.224, 0.000)
K (0.000, 0.776, 0.000)
K (0.250, 0.224, 0.500)
K (0.250, 0.776, 0.500)
K (0.500, 0.224, 0.000)
K (0.500, 0.776, 0.000)
K (0.750, 0.224, 0.500)
K (0.750, 0.776, 0.500)
Rb (0.000, 0.500, 0.500)
Rb (0.500, 0.500, 0.500)
Na (0.000, 0.000, 0.500)
Na (0.250, 0.000, 0.001)
Na (0.250, 0.500, 0.999)
Na (0.500, 0.000, 0.500)
Na (0.750, 0.000, 0.999)
Na (0.750, 0.500, 0.001)

Peak list (10 most intense, 10° ≤ 2θ ≤ 90°, in order of rising 2θ)
| 2θ (°) | Rel. int. |
| --- | --- |
| 15.9 | 11 |
| 21.3 | 12 |
| 24.9 | 100 |
| 28.4 | 37 |
| 29.6 | 13 |
| 40.5 | 13 |
| 41.5 | 20 |
| 48.1 | 29 |
| 49.7 | 10 |
| 51.0 | 10 |

No. 7
# K7Rb3Na2
Theoretical powder diffractogram, CuKα. Input: DFT lattice parameters and positions (PBE).
Neutral-atom scattering factors, no anomalous dispersion.

Crystal structure
Cell lengths 7.395, 4.892, 23.888 Å; angles 90.00, 98.09, 90.00 degrees
Positions (direct):
K (0.000, 0.000, 0.000)
K (0.083, 0.500, 0.174)
K (0.272, 0.500, 0.545)
K (0.423, 0.000, 0.839)
K (0.577, 0.000, 0.161)
K (0.728, 0.500, 0.455)
K (0.917, 0.500, 0.826)
Rb (0.173, 0.000, 0.350)
Rb (0.500, 0.500, 0.000)
Rb (0.827, 0.000, 0.650)
Na (0.356, 0.500, 0.708)
Na (0.644, 0.500, 0.292)

Peak list (10 most intense, 10° ≤ 2θ ≤ 90°, in order of rising 2θ)
| 2θ (°) | Rel. int. |
| --- | --- |
| 22.5 | 50 |
| 23.7 | 100 |
| 23.8 | 86 |
| 24.1 | 76 |
| 25.4 | 24 |
| 25.6 | 22 |
| 36.7 | 22 |
| 39.0 | 19 |
| 42.0 | 21 |
| 44.4 | 27 |

No. 8
# K9Rb6Na
Theoretical powder diffractogram, CuKα. Input: DFT lattice parameters and positions (PBE).
Neutral-atom scattering factors, no anomalous dispersion.

Crystal structure
Cell lengths 12.157, 12.157, 12.157 Å; angles 121.57, 121.57, 87.31 degrees
Positions (direct):
K (0.000, 0.000, 0.000)
K (0.046, 0.494, 0.206)
K (0.160, 0.954, 0.448)
K (0.288, 0.840, 0.794)
K (0.494, 0.288, 0.448)
K (0.506, 0.712, 0.552)
K (0.712, 0.160, 0.206)
K (0.840, 0.046, 0.552)
K (0.954, 0.506, 0.794)
Rb (0.181, 0.375, 0.556)
Rb (0.280, 0.280, 0.000)
Rb (0.375, 0.819, 0.193)
Rb (0.625, 0.181, 0.807)
Rb (0.720, 0.720, 0.000)
Rb (0.819, 0.625, 0.444)
Na (0.500, 0.500, 0.000)

Peak list (10 most intense, 10° ≤ 2θ ≤ 90°, in order of rising 2θ)
| 2θ (°) | Rel. int. |
| --- | --- |
| 17.5 | 10 |
| 22.6 | 100 |
| 23.7 | 58 |
| 30.5 | 12 |
| 31.3 | 12 |
| 33.8 | 17 |
| 39.0 | 13 |
| 39.7 | 10 |
| 41.0 | 25 |
| 49.7 | 9 |

No. 9
# K6RbNa4
Theoretical powder diffractogram, CuKα. Input: DFT lattice parameters and positions (PBE).
Neutral-atom scattering factors, no anomalous dispersion.

Crystal structure
Cell lengths 8.008, 8.009, 12.188 Å; angles 99.89, 99.83, 116.89 degrees
Positions (direct):
K (0.000, 0.000, 0.000)
K (0.010, 0.662, 0.648)
K (0.378, 0.938, 0.285)
K (0.553, 0.553, 0.107)
K (0.662, 0.010, 0.648)
K (0.938, 0.378, 0.285)
Rb (0.371, 0.372, 0.730)
Na (0.481, 0.482, 0.415)
Na (0.483, 0.986, 0.954)
Na (0.950, 0.950, 0.407)
Na (0.986, 0.483, 0.954)

Peak list (10 most intense, 10° ≤ 2θ ≤ 90°, in order of rising 2θ)
| 2θ (°) | Rel. int. |
| --- | --- |
| 21.2 | 52 |
| 22.5 | 37 |
| 23.2 | 71 |
| 25.0 | 59 |
| 25.2 | 55 |
| 26.0 | 100 |
| 26.1 | 48 |
| 26.2 | 57 |
| 26.5 | 38 |
| 26.6 | 85 |

No. 10
# K2Rb4Na5
Theoretical powder diffractogram, CuKα. Input: DFT lattice parameters and positions (PBE).
Neutral-atom scattering factors, no anomalous dispersion.

Crystal structure
Cell lengths 11.157, 4.652, 14.116 Å; angles 90.00, 108.66, 90.00 degrees
Positions (direct):
K (0.145, 0.000, 0.409)
K (0.855, 0.000, 0.591)
Rb (0.261, 0.500, 0.745)
Rb (0.269, 0.500, 0.140)
Rb (0.731, 0.500, 0.860)
Rb (0.739, 0.500, 0.255)
Na (0.065, 0.000, 0.895)
Na (0.495, 0.000, 0.621)
Na (0.500, 0.000, 0.000)
Na (0.505, 0.000, 0.379)
Na (0.935, 0.000, 0.105)

Peak list (10 most intense, 10° ≤ 2θ ≤ 90°, in order of rising 2θ)
| 2θ (°) | Rel. int. |
| --- | --- |
| 13.2 | 38 |
| 16.8 | 46 |
| 23.3 | 100 |
| 24.0 | 46 |
| 24.5 | 77 |
| 25.5 | 97 |
| 26.2 | 60 |
| 26.8 | 35 |
| 27.0 | 40 |
| 31.8 | 36 |

No. 11
# K2Rb21Na6
Theoretical powder diffractogram, CuKα. Input: DFT lattice parameters and positions (PBE).
Neutral-atom scattering factors, no anomalous dispersion.

Crystal structure
Cell lengths 14.904, 14.904, 14.904 Å; angles 60.00, 60.00, 60.00 degrees
Positions (direct):
K (0.250, 0.250, 0.250)
K (0.750, 0.750, 0.750)
Rb (0.000, 0.000, 0.000)
Rb (0.000, 0.000, 0.343)
Rb (0.000, 0.000, 0.657)
Rb (0.000, 0.343, 0.000)
Rb (0.000, 0.343, 0.657)
Rb (0.000, 0.657, 0.000)
Rb (0.000, 0.657, 0.343)
Rb (0.141, 0.620, 0.620)
Rb (0.343, 0.000, 0.000)
Rb (0.343, 0.000, 0.657)
Rb (0.343, 0.657, 0.000)
Rb (0.380, 0.380, 0.380)
Rb (0.380, 0.380, 0.859)
Rb (0.380, 0.859, 0.380)
Rb (0.620, 0.141, 0.620)
Rb (0.620, 0.620, 0.141)
Rb (0.620, 0.620, 0.620)
Rb (0.657, 0.000, 0.000)
Rb (0.657, 0.000, 0.343)
Rb (0.657, 0.343, 0.000)
Rb (0.859, 0.380, 0.380)
Na (0.268, 0.268, 0.732)
Na (0.268, 0.732, 0.268)
Na (0.268, 0.732, 0.732)
Na (0.732, 0.268, 0.268)
Na (0.732, 0.268, 0.732)
Na (0.732, 0.732, 0.268)

Peak list (10 most intense, 10° ≤ 2θ ≤ 90°, in order of rising 2θ)
| 2θ (°) | Rel. int. |
| --- | --- |
| 20.6 | 16 |
| 21.9 | 100 |
| 23.9 | 24 |
| 25.0 | 31 |
| 25.4 | 22 |
| 36.2 | 25 |
| 36.9 | 19 |
| 42.0 | 25 |
| 42.7 | 12 |
| 57.1 | 22 |